# ZnSb2Pb
Simulated powder diffractogram, Cu Kα. Input: a crystal structure in Alexandria, relaxed with GGA-PBE.

Principal peaks in the range 2θ = 5–70°, in order of rising 2θ:
- 16.2 deg, d = 5.479 Å, I = 33
- 31.3 deg, d = 2.857 Å, I = 14
- 32.6 deg, d = 2.750 Å, I = 100
- 32.7 deg, d = 2.740 Å, I = 99
- 37.3 deg, d = 2.409 Å, I = 35
- 38.1 deg, d = 2.361 Å, I = 65
- 54.4 deg, d = 1.686 Å, I = 46
- 64.3 deg, d = 1.448 Å, I = 16
- 65.3 deg, d = 1.429 Å, I = 27
- 65.5 deg, d = 1.424 Å, I = 26

Atomic structure:
```
4
Lattice="3.3300 -4.8188 0.0000 3.3300 4.8188 0.0000 0.0000 0.0000 3.3484" Properties=species:S:1:pos:R:3 pbc="T T T"
Zn 0.0000 0.0000 0.0000
Sb 1.6650 2.4094 1.6742
Sb 1.6650 -2.4094 1.6742
Pb 3.3300 0.0000 0.0000
```

=====

# ZnSb3Pb3
Simulated powder diffractogram, Cu Kα. Input: a crystal structure in Alexandria, relaxed with GGA-PBE.

Principal peaks in the range 2θ = 5–70°, in order of rising 2θ:
- 27.7 deg, d = 3.216 Å, I = 28
- 27.9 deg, d = 3.201 Å, I = 56
- 28.3 deg, d = 3.157 Å, I = 34
- 29.2 deg, d = 3.057 Å, I = 60
- 30.2 deg, d = 2.955 Å, I = 33
- 30.4 deg, d = 2.943 Å, I = 100
- 31.7 deg, d = 2.822 Å, I = 37
- 34.0 deg, d = 2.636 Å, I = 61
- 34.6 deg, d = 2.591 Å, I = 90
- 39.7 deg, d = 2.269 Å, I = 60

Atomic structure:
```
28
Lattice="12.9544 0.0000 0.0000 0.0000 4.5372 0.0000 0.0000 0.0000 14.4550" Properties=species:S:1:pos:R:3 pbc="T T T"
Zn 0.7807 1.1343 2.9712
Zn 5.6965 3.4029 10.1987
Zn 7.2578 1.1343 4.2563
Zn 12.1737 3.4029 11.4839
Sb 0.4800 1.1343 12.3242
Sb 1.5001 1.1343 5.7294
Sb 3.1789 3.4029 8.9064
Sb 3.2983 1.1343 1.6789
Sb 4.9771 3.4029 12.9569
Sb 5.9972 3.4029 5.0967
Sb 6.9572 1.1343 9.3584
Sb 7.9773 1.1343 1.4981
Sb 9.6561 3.4029 12.7761
Sb 9.7754 1.1343 5.5486
Sb 11.4542 3.4029 8.7257
Sb 12.4744 3.4029 2.1308
Pb 0.7538 1.1343 8.8309
Pb 1.9209 3.4029 14.3117
Pb 3.0442 3.4029 4.0373
Pb 3.4330 1.1343 11.2648
Pb 4.5563 1.1343 7.0842
Pb 5.7234 3.4029 1.6034
Pb 7.2310 1.1343 12.8517
Pb 8.3980 3.4029 7.3708
Pb 9.5214 3.4029 3.1902
Pb 9.9102 1.1343 10.4177
Pb 11.0335 1.1343 0.1433
Pb 12.2006 3.4029 5.6242
```

=====

# Zn2Sb2Pb
Simulated powder diffractogram, Cu Kα. Input: a crystal structure in Alexandria, relaxed with GGA-PBE.

Principal peaks in the range 2θ = 5–70°, in order of rising 2θ:
- 27.9 deg, d = 3.196 Å, I = 24
- 28.2 deg, d = 3.162 Å, I = 100
- 30.4 deg, d = 2.940 Å, I = 57
- 31.0 deg, d = 2.889 Å, I = 17
- 31.3 deg, d = 2.859 Å, I = 55
- 36.9 deg, d = 2.435 Å, I = 36
- 37.1 deg, d = 2.422 Å, I = 18
- 40.7 deg, d = 2.217 Å, I = 17
- 41.5 deg, d = 2.175 Å, I = 35
- 52.3 deg, d = 1.748 Å, I = 40

Atomic structure:
```
20
Lattice="9.9271 0.0000 0.0000 0.0000 4.3510 0.0000 0.0000 0.0000 12.3116" Properties=species:S:1:pos:R:3 pbc="T T T"
Zn 0.3477 1.0877 1.3364
Zn 0.5819 1.0877 6.9591
Zn 4.3817 3.2632 0.8033
Zn 4.6158 3.2632 7.4922
Zn 5.3113 1.0877 4.8194
Zn 5.5454 1.0877 11.5083
Zn 9.3452 3.2632 5.3525
Zn 9.5794 3.2632 10.9752
Sb 0.3986 1.0877 4.0439
Sb 1.7219 3.2632 0.5439
Sb 3.2416 1.0877 6.6997
Sb 4.5650 3.2632 10.1997
Sb 5.3621 1.0877 2.1119
Sb 6.6855 3.2632 5.6119
Sb 8.2052 1.0877 11.7677
Sb 9.5285 3.2632 8.2677
Pb 2.0884 1.0877 10.1252
Pb 2.8752 3.2632 3.9694
Pb 7.0519 1.0877 8.3422
Pb 7.8388 3.2632 2.1864
```

=====

# Zr12SbPb3
Simulated powder diffractogram, Cu Kα. Input: a crystal structure in Alexandria, relaxed with GGA-PBE.

Principal peaks in the range 2θ = 5–70°, in order of rising 2θ:
- 7.8 deg, d = 11.351 Å, I = 1
- 22.2 deg, d = 4.013 Å, I = 21
- 31.5 deg, d = 2.837 Å, I = 44
- 35.4 deg, d = 2.538 Å, I = 59
- 38.9 deg, d = 2.317 Å, I = 100
- 45.2 deg, d = 2.006 Å, I = 4
- 50.9 deg, d = 1.795 Å, I = 5
- 58.7 deg, d = 1.574 Å, I = 13
- 61.1 deg, d = 1.517 Å, I = 53
- 65.8 deg, d = 1.419 Å, I = 14

Atomic structure:
```
16
Lattice="5.6746 0.0000 0.0000 0.0000 5.6746 0.0000 0.0000 0.0000 11.3514" Properties=species:S:1:pos:R:3 pbc="T T T"
Zr 0.0000 0.0000 1.4115
Zr 0.0000 0.0000 4.2514
Zr 0.0000 0.0000 7.1000
Zr 0.0000 0.0000 9.9399
Zr 1.4145 2.8373 2.8771
Zr 1.4145 2.8373 8.4743
Zr 2.8373 1.4152 0.0000
Zr 2.8373 1.4205 5.6757
Zr 2.8373 4.2541 5.6757
Zr 2.8373 4.2594 0.0000
Zr 4.2600 2.8373 2.8771
Zr 4.2600 2.8373 8.4743
Sb 0.0000 2.8373 5.6757
Pb 0.0000 2.8373 0.0000
Pb 2.8373 0.0000 2.8422
Pb 2.8373 0.0000 8.5092
```

=====

# ZrSbPb2
Simulated powder diffractogram, Cu Kα. Input: a crystal structure in Alexandria, relaxed with GGA-PBE.

Principal peaks in the range 2θ = 5–70°, in order of rising 2θ:
- 26.0 deg, d = 3.423 Å, I = 61
- 32.1 deg, d = 2.787 Å, I = 27
- 34.8 deg, d = 2.576 Å, I = 100
- 35.7 deg, d = 2.517 Å, I = 24
- 36.3 deg, d = 2.476 Å, I = 18
- 38.0 deg, d = 2.369 Å, I = 29
- 40.5 deg, d = 2.229 Å, I = 22
- 50.6 deg, d = 1.805 Å, I = 15
- 56.7 deg, d = 1.623 Å, I = 17
- 60.1 deg, d = 1.538 Å, I = 30

Atomic structure:
```
4
Lattice="-1.6856 2.3685 7.4281 1.6856 -2.3685 7.4281 1.6856 2.3685 -7.4281" Properties=species:S:1:pos:R:3 pbc="T T T"
Zr 0.0000 0.0000 0.0000
Sb 0.0000 0.0000 7.4281
Pb 1.6856 0.0000 2.8362
Pb 0.0000 2.3685 4.5920
```

=====

# ScPb5
Simulated powder diffractogram, Cu Kα. Input: a crystal structure in Alexandria, relaxed with GGA-PBE.

Principal peaks in the range 2θ = 5–70°, in order of rising 2θ:
- 28.4 deg, d = 3.147 Å, I = 12
- 31.6 deg, d = 2.832 Å, I = 100
- 36.4 deg, d = 2.470 Å, I = 38
- 37.2 deg, d = 2.419 Å, I = 12
- 48.4 deg, d = 1.881 Å, I = 9
- 52.4 deg, d = 1.746 Å, I = 14
- 53.0 deg, d = 1.728 Å, I = 18
- 57.2 deg, d = 1.610 Å, I = 11
- 62.5 deg, d = 1.486 Å, I = 29
- 66.0 deg, d = 1.416 Å, I = 10

Atomic structure:
```
6
Lattice="3.4925 0.0000 0.0000 0.0000 3.4925 0.0000 0.0000 0.0000 14.5116" Properties=species:S:1:pos:R:3 pbc="T T T"
Sc 0.0000 0.0000 0.0000
Pb 0.0000 0.0000 4.6969
Pb 0.0000 0.0000 9.8147
Pb 1.7463 1.7463 2.0787
Pb 1.7463 1.7463 7.2558
Pb 1.7463 1.7463 12.4329
```

=====

# Sc4Pb3
Simulated powder diffractogram, Cu Kα. Input: a crystal structure in Alexandria, relaxed with GGA-PBE.

Principal peaks in the range 2θ = 5–70°, in order of rising 2θ:
- 8.2 deg, d = 10.840 Å, I = 16
- 16.4 deg, d = 5.420 Å, I = 26
- 25.4 deg, d = 3.510 Å, I = 65
- 31.5 deg, d = 2.839 Å, I = 78
- 35.7 deg, d = 2.515 Å, I = 17
- 36.6 deg, d = 2.452 Å, I = 100
- 45.2 deg, d = 2.008 Å, I = 29
- 52.5 deg, d = 1.743 Å, I = 20
- 59.5 deg, d = 1.554 Å, I = 49
- 69.1 deg, d = 1.360 Å, I = 14

Atomic structure:
```
7
Lattice="-2.0078 2.0078 10.8403 2.0078 -2.0078 10.8403 2.0078 2.0078 -10.8403" Properties=species:S:1:pos:R:3 pbc="T T T"
Sc 0.0000 0.0000 1.5544
Sc 0.0000 0.0000 7.6733
Sc 0.0000 0.0000 14.0073
Sc 0.0000 0.0000 20.1262
Pb 0.0000 0.0000 4.5040
Pb 0.0000 0.0000 10.8403
Pb 0.0000 0.0000 17.1766
```

=====

# Sc7Pb6
Simulated powder diffractogram, Cu Kα. Input: a crystal structure in Alexandria, relaxed with GGA-PBE.

Principal peaks in the range 2θ = 5–70°, in order of rising 2θ:
- 16.9 deg, d = 5.248 Å, I = 18
- 20.2 deg, d = 4.399 Å, I = 19
- 28.3 deg, d = 3.149 Å, I = 25
- 29.1 deg, d = 3.073 Å, I = 100
- 33.2 deg, d = 2.695 Å, I = 42
- 33.8 deg, d = 2.648 Å, I = 64
- 51.5 deg, d = 1.774 Å, I = 21
- 54.2 deg, d = 1.692 Å, I = 22
- 60.2 deg, d = 1.537 Å, I = 22
- 61.3 deg, d = 1.512 Å, I = 26

Atomic structure:
```
13
Lattice="3.0734 1.7744 10.4163 -3.0734 1.7744 10.4163 0.0000 -3.5488 10.4163" Properties=species:S:1:pos:R:3 pbc="T T T"
Sc 0.0000 0.0000 0.0000
Sc 0.0000 -1.7824 7.8312
Sc -1.5436 0.8912 7.8312
Sc -1.5436 -0.8912 23.4176
Sc 1.5436 0.8912 7.8312
Sc 1.5436 -0.8912 23.4176
Sc 0.0000 1.7824 23.4176
Pb 0.0000 0.0000 5.2080
Pb 0.0000 0.0000 10.6598
Pb 0.0000 0.0000 13.8090
Pb 0.0000 0.0000 17.4399
Pb 0.0000 0.0000 20.5891
Pb 0.0000 0.0000 26.0408
```

=====

# ScPb
Simulated powder diffractogram, Cu Kα. Input: a crystal structure in Alexandria, relaxed with GGA-PBE.

Principal peaks in the range 2θ = 5–70°, in order of rising 2θ:
- 20.5 deg, d = 4.334 Å, I = 33
- 26.5 deg, d = 3.368 Å, I = 37
- 33.7 deg, d = 2.659 Å, I = 100
- 35.6 deg, d = 2.519 Å, I = 22
- 39.8 deg, d = 2.264 Å, I = 16
- 41.7 deg, d = 2.167 Å, I = 14
- 50.1 deg, d = 1.822 Å, I = 14
- 54.5 deg, d = 1.684 Å, I = 13
- 62.8 deg, d = 1.480 Å, I = 17
- 68.4 deg, d = 1.372 Å, I = 13

Atomic structure:
```
2
Lattice="2.2643 -2.5190 0.0000 2.2643 2.5190 0.0000 0.0000 0.0000 4.3340" Properties=species:S:1:pos:R:3 pbc="T T T"
Sc 0.0000 0.0000 0.0000
Pb 2.2643 0.0000 2.1670
```

=====

# ScPb5
Simulated powder diffractogram, Cu Kα. Input: a crystal structure in Alexandria, relaxed with GGA-PBE.

Principal peaks in the range 2θ = 5–70°, in order of rising 2θ:
- 17.0 deg, d = 5.224 Å, I = 4
- 23.4 deg, d = 3.799 Å, I = 11
- 29.6 deg, d = 3.016 Å, I = 25
- 32.3 deg, d = 2.768 Å, I = 25
- 33.8 deg, d = 2.648 Å, I = 100
- 44.4 deg, d = 2.039 Å, I = 17
- 52.6 deg, d = 1.741 Å, I = 20
- 58.7 deg, d = 1.574 Å, I = 21
- 63.1 deg, d = 1.474 Å, I = 22
- 64.0 deg, d = 1.455 Å, I = 16

Atomic structure:
```
6
Lattice="6.0316 0.0000 0.0000 -3.0158 5.2235 0.0000 0.0000 0.0000 5.5352" Properties=species:S:1:pos:R:3 pbc="T T T"
Sc 0.0000 0.0000 0.0000
Pb -2.0614 3.5704 2.7676
Pb 0.9544 1.6531 2.7676
Pb 0.0000 3.4823 0.0000
Pb 3.0158 1.7412 0.0000
Pb 4.1228 0.0000 2.7676
```

=====

# ScPb5
Simulated powder diffractogram, Cu Kα. Input: a crystal structure in Alexandria, relaxed with GGA-PBE.

Principal peaks in the range 2θ = 5–70°, in order of rising 2θ:
- 31.3 deg, d = 2.861 Å, I = 53
- 31.8 deg, d = 2.815 Å, I = 100
- 31.9 deg, d = 2.806 Å, I = 48
- 35.9 deg, d = 2.499 Å, I = 77
- 38.3 deg, d = 2.348 Å, I = 26
- 53.1 deg, d = 1.724 Å, I = 21
- 53.9 deg, d = 1.700 Å, I = 18
- 61.4 deg, d = 1.510 Å, I = 16
- 61.9 deg, d = 1.498 Å, I = 16
- 62.3 deg, d = 1.490 Å, I = 15

Atomic structure:
```
6
Lattice="5.7809 -1.7587 0.0000 5.7809 1.7587 0.0000 -3.6458 0.0000 8.6595" Properties=species:S:1:pos:R:3 pbc="T T T"
Sc 0.0000 0.0000 0.0000
Pb -1.8191 0.0000 4.3403
Pb 1.3601 0.0000 5.9736
Pb 3.4087 0.0000 1.3141
Pb 4.5161 0.0000 7.3655
Pb 6.5616 0.0000 2.6900
```

=====

# Sc7Pb
Simulated powder diffractogram, Cu Kα. Input: a crystal structure in Alexandria, relaxed with GGA-PBE.

Principal peaks in the range 2θ = 5–70°, in order of rising 2θ:
- 16.7 deg, d = 5.303 Å, I = 49
- 19.3 deg, d = 4.592 Å, I = 26
- 27.5 deg, d = 3.247 Å, I = 24
- 32.3 deg, d = 2.769 Å, I = 32
- 33.8 deg, d = 2.651 Å, I = 100
- 39.2 deg, d = 2.296 Å, I = 49
- 42.9 deg, d = 2.107 Å, I = 15
- 44.1 deg, d = 2.054 Å, I = 14
- 56.7 deg, d = 1.624 Å, I = 32
- 67.7 deg, d = 1.385 Å, I = 36

Atomic structure:
```
8
Lattice="0.0000 4.5923 4.5923 4.5923 0.0000 4.5923 4.5923 4.5923 0.0000" Properties=species:S:1:pos:R:3 pbc="T T T"
Sc 0.0000 0.0000 0.0000
Sc 2.2962 2.2962 0.0000
Sc 2.2962 0.0000 2.2962
Sc 4.5923 2.2962 2.2962
Sc 0.0000 2.2962 2.2962
Sc 2.2962 4.5923 2.2962
Sc 2.2962 2.2962 4.5923
Pb 4.5923 4.5923 4.5923
```